No. 1
# HgAsF7
Simulated powder diffractogram, Cu Kα X-rays. Input: a cell relaxed with GGA-PBE.

Atomic structure:
```
data_HgAsF7
_cell_length_a 6.9818
_cell_length_b 8.7225
_cell_length_c 7.4653
_cell_angle_alpha 90.00
_cell_angle_beta 107.19
_cell_angle_gamma 90.00
_symmetry_space_group_name_H-M 'P 1'
_symmetry_Int_Tables_number 1
loop_
_symmetry_equiv_pos_as_xyz
'x,y,z'
loop_
_atom_site_label
_atom_site_fract_x
_atom_site_fract_y
_atom_site_fract_z
Hg1 0.1367 0.2468 0.3364
Hg2 0.1367 0.2532 0.8364
Hg3 0.8633 0.7468 0.1636
Hg4 0.8633 0.7532 0.6636
As1 0.3300 0.5989 0.6910
As2 0.3300 0.9011 0.1910
As3 0.6700 0.0989 0.8090
As4 0.6700 0.4011 0.3090
F1 0.1315 0.5555 0.7893
F2 0.1315 0.9445 0.2893
F3 0.1357 0.1390 0.5848
F4 0.1357 0.3610 0.0848
F5 0.1647 0.5663 0.4626
F6 0.1647 0.9337 0.9626
F7 0.2499 0.7091 0.1661
F8 0.2499 0.7909 0.6661
F9 0.3762 0.1021 0.2056
F10 0.3762 0.3979 0.7056
F11 0.4701 0.1246 0.9004
F12 0.4701 0.3754 0.4004
F13 0.4844 0.6291 0.9159
F14 0.4844 0.8709 0.4159
F15 0.5156 0.1291 0.5841
F16 0.5156 0.3709 0.0841
F17 0.5299 0.6246 0.5996
F18 0.5299 0.8754 0.0996
F19 0.6238 0.6021 0.2944
F20 0.6238 0.8979 0.7944
F21 0.7501 0.2091 0.3339
F22 0.7501 0.2909 0.8339
F23 0.8353 0.0663 0.0374
F24 0.8353 0.4337 0.5374
F25 0.8643 0.6390 0.9152
F26 0.8643 0.8610 0.4152
F27 0.8685 0.0555 0.7107
F28 0.8685 0.4445 0.2107
```

Principal peaks in the range 2θ from 15° to 90°, low angle first:
two_theta, d_spacing, I_rel
16.7, 5.298, 70
20.4, 4.361, 59
24.4, 3.650, 51
25.0, 3.566, 33
27.0, 3.301, 92
28.7, 3.115, 100
32.1, 2.786, 56
32.5, 2.754, 45
33.6, 2.665, 58
44.8, 2.023, 39

=====

No. 2
# NaAsIrO4F
Simulated powder diffractogram, Cu Kα X-rays. Input: a cell relaxed with GGA-PBE.

Atomic structure:
```
data_NaAsIrO4F
_cell_length_a 5.5511
_cell_length_b 5.5511
_cell_length_c 7.1909
_cell_angle_alpha 105.79
_cell_angle_beta 105.79
_cell_angle_gamma 105.97
_symmetry_space_group_name_H-M 'P 1'
_symmetry_Int_Tables_number 1
loop_
_symmetry_equiv_pos_as_xyz
'x,y,z'
loop_
_atom_site_label
_atom_site_fract_x
_atom_site_fract_y
_atom_site_fract_z
Na1 0.1510 0.8490 0.7500
Na2 0.8490 0.1510 0.2500
As1 0.1912 0.8088 0.2500
As2 0.8088 0.1912 0.7500
Ir1 0.5000 0.5000 0.0000
Ir2 0.5000 0.5000 0.5000
O1 0.1143 0.2571 0.9416
O2 0.1668 0.5790 0.3713
O3 0.2571 0.1143 0.4416
O4 0.4210 0.8332 0.1287
O5 0.5790 0.1668 0.8713
O6 0.7429 0.8857 0.5584
O7 0.8332 0.4210 0.6287
O8 0.8857 0.7429 0.0584
F1 0.3995 0.6005 0.7500
F2 0.6005 0.3995 0.2500
```

Principal peaks in the range 2θ from 15° to 90°, low angle first:
two_theta, d_spacing, I_rel
17.9, 4.947, 100
20.0, 4.432, 23
26.9, 3.319, 84
30.0, 2.981, 49
33.9, 2.648, 57
34.5, 2.598, 57
36.6, 2.454, 28
38.8, 2.323, 20
42.5, 2.126, 25
55.7, 1.649, 18

=====

No. 3
# NaZrAsO4F
Simulated powder diffractogram, Cu Kα X-rays. Input: a cell relaxed with GGA-PBE.

Atomic structure:
```
data_NaZrAsO4F
_cell_length_a 5.7392
_cell_length_b 5.7392
_cell_length_c 7.6481
_cell_angle_alpha 103.53
_cell_angle_beta 103.53
_cell_angle_gamma 108.15
_symmetry_space_group_name_H-M 'P 1'
_symmetry_Int_Tables_number 1
loop_
_symmetry_equiv_pos_as_xyz
'x,y,z'
loop_
_atom_site_label
_atom_site_fract_x
_atom_site_fract_y
_atom_site_fract_z
Na1 0.1509 0.8491 0.7500
Na2 0.8491 0.1509 0.2500
Zr1 0.5000 0.5000 0.0000
Zr2 0.5000 0.5000 0.5000
As1 0.1893 0.8107 0.2500
As2 0.8107 0.1893 0.7500
O1 0.1167 0.2547 0.9292
O2 0.1787 0.5652 0.3652
O3 0.2547 0.1167 0.4292
O4 0.4348 0.8213 0.1348
O5 0.5652 0.1787 0.8652
O6 0.7453 0.8833 0.5708
O7 0.8213 0.4348 0.6348
O8 0.8833 0.7453 0.0708
F1 0.4024 0.5976 0.7500
F2 0.5976 0.4024 0.2500
```

Principal peaks in the range 2θ from 15° to 90°, low angle first:
two_theta, d_spacing, I_rel
17.2, 5.144, 51
17.7, 5.018, 38
25.6, 3.486, 100
28.9, 3.088, 65
32.0, 2.799, 77
32.3, 2.769, 66
42.2, 2.140, 24
50.5, 1.808, 25
53.4, 1.715, 27
56.9, 1.618, 22

=====

No. 4
# Sr2SbAsPd2OF2
Simulated powder diffractogram, Cu Kα X-rays. Input: a cell relaxed with GGA-PBE.

Atomic structure:
```
data_Sr2SbAsPd2OF2
_cell_length_a 9.2233
_cell_length_b 9.2233
_cell_length_c 9.2233
_cell_angle_alpha 152.89
_cell_angle_beta 152.89
_cell_angle_gamma 38.71
_symmetry_space_group_name_H-M 'P 1'
_symmetry_Int_Tables_number 1
loop_
_symmetry_equiv_pos_as_xyz
'x,y,z'
loop_
_atom_site_label
_atom_site_fract_x
_atom_site_fract_y
_atom_site_fract_z
Sr1 0.0000 0.0000 0.0000
Sr2 0.3461 0.3461 0.0000
Sb1 0.5928 0.5928 0.0000
As1 0.7716 0.7716 0.0000
Pd1 0.1909 0.6909 0.5000
Pd2 0.6909 0.1909 0.5000
O1 0.2005 0.2005 0.0000
F1 0.4265 0.9265 0.5000
F2 0.9265 0.4265 0.5000
```

Principal peaks in the range 2θ from 15° to 90°, low angle first:
two_theta, d_spacing, I_rel
25.7, 3.466, 32
31.0, 2.884, 27
33.0, 2.711, 69
35.9, 2.501, 100
41.8, 2.161, 75
43.0, 2.104, 16
51.6, 1.772, 29
54.3, 1.690, 32
60.6, 1.528, 33
72.5, 1.304, 24

=====

No. 5
# FeAs
Simulated powder diffractogram, Cu Kα X-rays. Input: a cell relaxed with GGA-PBE.

Atomic structure:
```
data_FeAs
_cell_length_a 4.7102
_cell_length_b 3.7520
_cell_length_c 6.8306
_cell_angle_alpha 90.00
_cell_angle_beta 90.00
_cell_angle_gamma 90.00
_symmetry_space_group_name_H-M 'P 1'
_symmetry_Int_Tables_number 1
loop_
_symmetry_equiv_pos_as_xyz
'x,y,z'
loop_
_atom_site_label
_atom_site_fract_x
_atom_site_fract_y
_atom_site_fract_z
Fe1 0.0000 0.0000 0.0000
Fe2 0.2500 0.5000 0.1922
Fe3 0.5000 0.0000 0.0000
Fe4 0.7500 0.5000 0.8078
As1 0.2500 0.0000 0.3995
As2 0.2500 0.5000 0.8283
As3 0.7500 0.0000 0.6005
As4 0.7500 0.5000 0.1717
```

Principal peaks in the range 2θ from 15° to 90°, low angle first:
two_theta, d_spacing, I_rel
27.1, 3.289, 26
32.4, 2.765, 44
33.2, 2.696, 29
35.5, 2.526, 100
38.2, 2.355, 34
45.5, 1.995, 23
46.7, 1.946, 71
47.5, 1.915, 95
48.5, 1.876, 52
56.2, 1.637, 23

=====

No. 6
# Hf2ZrFe2As4Pd2
Simulated powder diffractogram, Cu Kα X-rays. Input: a cell relaxed with GGA-PBE.

Atomic structure:
```
data_Hf2ZrFe2As4Pd2
_cell_length_a 6.5403
_cell_length_b 3.8683
_cell_length_c 7.5118
_cell_angle_alpha 90.00
_cell_angle_beta 90.02
_cell_angle_gamma 90.00
_symmetry_space_group_name_H-M 'P 1'
_symmetry_Int_Tables_number 1
loop_
_symmetry_equiv_pos_as_xyz
'x,y,z'
loop_
_atom_site_label
_atom_site_fract_x
_atom_site_fract_y
_atom_site_fract_z
Hf1 0.0000 0.0000 0.0000
Hf2 0.4369 0.5000 0.5113
Zr1 0.5116 0.0000 0.1398
Fe1 0.3517 0.5000 0.8722
Fe2 0.5834 0.0000 0.7770
As1 0.2177 0.0000 0.7070
As2 0.2209 0.5000 0.1786
As3 0.7263 0.5000 0.9105
As4 0.7296 0.0000 0.4812
Pd1 0.1172 0.0000 0.3875
Pd2 0.8150 0.5000 0.2621
```

Principal peaks in the range 2θ from 15° to 90°, low angle first:
two_theta, d_spacing, I_rel
18.0, 4.933, 43
26.8, 3.329, 23
36.0, 2.498, 42
36.1, 2.491, 82
38.0, 2.370, 100
38.5, 2.339, 38
43.0, 2.102, 40
45.3, 2.001, 26
47.0, 1.934, 41
48.3, 1.885, 22

=====

No. 7
# HfZr2Fe4As4
Simulated powder diffractogram, Cu Kα X-rays. Input: a cell relaxed with GGA-PBE.

Atomic structure:
```
data_HfZr2Fe4As4
_cell_length_a 6.4804
_cell_length_b 3.7463
_cell_length_c 7.4579
_cell_angle_alpha 90.00
_cell_angle_beta 90.51
_cell_angle_gamma 90.00
_symmetry_space_group_name_H-M 'P 1'
_symmetry_Int_Tables_number 1
loop_
_symmetry_equiv_pos_as_xyz
'x,y,z'
loop_
_atom_site_label
_atom_site_fract_x
_atom_site_fract_y
_atom_site_fract_z
Hf1 0.0000 0.0000 0.0000
Zr1 0.4873 0.0000 0.8479
Zr2 0.5667 0.5000 0.4898
Fe1 0.1690 0.5000 0.7219
Fe2 0.4296 0.0000 0.2225
Fe3 0.6640 0.5000 0.1211
Fe4 0.9083 0.0000 0.6236
As1 0.2567 0.0000 0.5174
As2 0.2850 0.5000 0.0641
As3 0.7930 0.5000 0.8065
As4 0.8050 0.0000 0.3077
```

Principal peaks in the range 2θ from 15° to 90°, low angle first:
two_theta, d_spacing, I_rel
27.5, 3.244, 40
36.6, 2.452, 100
36.8, 2.442, 66
38.6, 2.331, 98
38.8, 2.324, 74
43.7, 2.071, 54
45.9, 1.978, 40
46.1, 1.969, 29
48.6, 1.874, 78
48.9, 1.863, 29

=====

No. 8
# FeHgAs
Simulated powder diffractogram, Cu Kα X-rays. Input: a cell relaxed with GGA-PBE.

Atomic structure:
```
data_FeHgAs
_cell_length_a 3.7684
_cell_length_b 3.7684
_cell_length_c 4.4003
_cell_angle_alpha 90.00
_cell_angle_beta 90.00
_cell_angle_gamma 90.00
_symmetry_space_group_name_H-M 'P 1'
_symmetry_Int_Tables_number 1
loop_
_symmetry_equiv_pos_as_xyz
'x,y,z'
loop_
_atom_site_label
_atom_site_fract_x
_atom_site_fract_y
_atom_site_fract_z
Fe1 0.0000 0.0000 0.0000
Hg1 0.5000 0.5000 0.0000
As1 0.0000 0.0000 0.5000
```

Principal peaks in the range 2θ from 15° to 90°, low angle first:
two_theta, d_spacing, I_rel
20.2, 4.400, 50
31.3, 2.862, 100
33.6, 2.665, 99
39.5, 2.279, 37
41.0, 2.200, 29
48.3, 1.884, 36
52.9, 1.732, 16
54.1, 1.697, 51
58.7, 1.574, 35
65.2, 1.431, 29

=====

No. 9
# In2Fe3As4
Simulated powder diffractogram, Cu Kα X-rays. Input: a cell relaxed with GGA-PBE.

Atomic structure:
```
data_In2Fe3As4
_cell_length_a 7.0712
_cell_length_b 13.1711
_cell_length_c 3.6526
_cell_angle_alpha 90.00
_cell_angle_beta 90.00
_cell_angle_gamma 90.00
_symmetry_space_group_name_H-M 'P 1'
_symmetry_Int_Tables_number 1
loop_
_symmetry_equiv_pos_as_xyz
'x,y,z'
loop_
_atom_site_label
_atom_site_fract_x
_atom_site_fract_y
_atom_site_fract_z
In1 0.1017 0.1065 0.0000
In2 0.3983 0.6065 0.5000
In3 0.6017 0.3935 0.5000
In4 0.8983 0.8935 0.0000
Fe1 0.0000 0.5000 0.0000
Fe2 0.1558 0.3134 0.0000
Fe3 0.3442 0.8134 0.5000
Fe4 0.5000 0.0000 0.5000
Fe5 0.6558 0.1866 0.5000
Fe6 0.8442 0.6866 0.0000
As1 0.1711 0.7226 0.0000
As2 0.1827 0.4275 0.5000
As3 0.3173 0.9275 0.0000
As4 0.3289 0.2226 0.5000
As5 0.6711 0.7774 0.5000
As6 0.6827 0.0725 0.0000
As7 0.8173 0.5725 0.5000
As8 0.8289 0.2774 0.0000
```

Principal peaks in the range 2θ from 15° to 90°, low angle first:
two_theta, d_spacing, I_rel
25.3, 3.520, 38
27.5, 3.245, 91
32.5, 2.754, 84
36.4, 2.469, 41
38.0, 2.370, 55
41.1, 2.198, 29
42.3, 2.137, 100
44.3, 2.045, 33
48.0, 1.897, 46
49.9, 1.826, 43

=====

No. 10
# KZn2Fe2As3
Simulated powder diffractogram, Cu Kα X-rays. Input: a cell relaxed with GGA-PBE.

Atomic structure:
```
data_KZn2Fe2As3
_cell_length_a 11.3153
_cell_length_b 11.3153
_cell_length_c 11.3153
_cell_angle_alpha 21.13
_cell_angle_beta 21.13
_cell_angle_gamma 21.13
_symmetry_space_group_name_H-M 'P 1'
_symmetry_Int_Tables_number 1
loop_
_symmetry_equiv_pos_as_xyz
'x,y,z'
loop_
_atom_site_label
_atom_site_fract_x
_atom_site_fract_y
_atom_site_fract_z
K1 0.0000 0.0000 0.0000
Zn1 0.4195 0.4195 0.4195
Zn2 0.5805 0.5805 0.5805
Fe1 0.1852 0.1852 0.1852
Fe2 0.8148 0.8148 0.8148
As1 0.2608 0.2608 0.2608
As2 0.5000 0.5000 0.5000
As3 0.7392 0.7392 0.7392
```

Principal peaks in the range 2θ from 15° to 90°, low angle first:
two_theta, d_spacing, I_rel
24.9, 3.573, 25
27.0, 3.297, 52
28.2, 3.160, 22
32.4, 2.765, 40
43.5, 2.081, 55
43.6, 2.075, 100
50.9, 1.796, 20
55.4, 1.659, 50
63.3, 1.469, 17
80.1, 1.198, 33

=====

No. 11
# LuFeAsW
Simulated powder diffractogram, Cu Kα X-rays. Input: a cell relaxed with GGA-PBE.

Atomic structure:
```
data_LuFeAsW
_cell_length_a 6.3476
_cell_length_b 6.3476
_cell_length_c 6.3476
_cell_angle_alpha 90.00
_cell_angle_beta 90.00
_cell_angle_gamma 90.00
_symmetry_space_group_name_H-M 'P 1'
_symmetry_Int_Tables_number 1
loop_
_symmetry_equiv_pos_as_xyz
'x,y,z'
loop_
_atom_site_label
_atom_site_fract_x
_atom_site_fract_y
_atom_site_fract_z
Lu1 0.0000 0.0000 0.0000
Lu2 0.0000 0.5000 0.5000
Lu3 0.5000 0.0000 0.5000
Lu4 0.5000 0.5000 0.0000
Fe1 0.2500 0.2500 0.7500
Fe2 0.2500 0.7500 0.2500
Fe3 0.7500 0.2500 0.2500
Fe4 0.7500 0.7500 0.7500
As1 0.0000 0.0000 0.5000
As2 0.0000 0.5000 0.0000
As3 0.5000 0.0000 0.0000
As4 0.5000 0.5000 0.5000
W1 0.2500 0.2500 0.2500
W2 0.2500 0.7500 0.7500
W3 0.7500 0.2500 0.7500
W4 0.7500 0.7500 0.2500
```

Principal peaks in the range 2θ from 15° to 90°, low angle first:
two_theta, d_spacing, I_rel
24.3, 3.665, 24
40.2, 2.244, 100
47.5, 1.914, 13
58.1, 1.587, 17
63.9, 1.456, 5
73.0, 1.296, 34
78.3, 1.222, 4
86.8, 1.122, 11

=====

No. 12
# YFeMoAs
Simulated powder diffractogram, Cu Kα X-rays. Input: a cell relaxed with GGA-PBE.

Atomic structure:
```
data_YFeMoAs
_cell_length_a 6.3872
_cell_length_b 6.3872
_cell_length_c 6.3872
_cell_angle_alpha 90.00
_cell_angle_beta 90.00
_cell_angle_gamma 90.00
_symmetry_space_group_name_H-M 'P 1'
_symmetry_Int_Tables_number 1
loop_
_symmetry_equiv_pos_as_xyz
'x,y,z'
loop_
_atom_site_label
_atom_site_fract_x
_atom_site_fract_y
_atom_site_fract_z
Y1 0.0000 0.0000 0.0000
Y2 0.0000 0.5000 0.5000
Y3 0.5000 0.0000 0.5000
Y4 0.5000 0.5000 0.0000
Fe1 0.2500 0.2500 0.7500
Fe2 0.2500 0.7500 0.2500
Fe3 0.7500 0.2500 0.2500
Fe4 0.7500 0.7500 0.7500
Mo1 0.2500 0.2500 0.2500
Mo2 0.2500 0.7500 0.7500
Mo3 0.7500 0.2500 0.7500
Mo4 0.7500 0.7500 0.2500
As1 0.0000 0.0000 0.5000
As2 0.0000 0.5000 0.0000
As3 0.5000 0.0000 0.0000
As4 0.5000 0.5000 0.5000
```

Principal peaks in the range 2θ from 15° to 90°, low angle first:
two_theta, d_spacing, I_rel
24.1, 3.688, 4
39.9, 2.258, 100
47.2, 1.926, 2
57.7, 1.597, 16
63.5, 1.465, 1
72.5, 1.304, 32
77.7, 1.229, 1
86.1, 1.129, 10

=====

No. 13
# Na2Fe2AsP
Simulated powder diffractogram, Cu Kα X-rays. Input: a cell relaxed with GGA-PBE.

Atomic structure:
```
data_Na2Fe2AsP
_cell_length_a 3.8406
_cell_length_b 3.8406
_cell_length_c 6.7016
_cell_angle_alpha 90.00
_cell_angle_beta 90.00
_cell_angle_gamma 90.00
_symmetry_space_group_name_H-M 'P 1'
_symmetry_Int_Tables_number 1
loop_
_symmetry_equiv_pos_as_xyz
'x,y,z'
loop_
_atom_site_label
_atom_site_fract_x
_atom_site_fract_y
_atom_site_fract_z
Na1 0.0000 0.0000 0.0000
Na2 0.5000 0.5000 0.2960
Fe1 0.0000 0.5000 0.6594
Fe2 0.5000 0.0000 0.6594
As1 0.0000 0.0000 0.4599
P1 0.5000 0.5000 0.8227
```

Principal peaks in the range 2θ from 15° to 90°, low angle first:
two_theta, d_spacing, I_rel
26.8, 3.332, 32
35.6, 2.525, 68
35.7, 2.517, 53
42.9, 2.110, 100
47.3, 1.920, 64
49.4, 1.846, 28
53.1, 1.725, 34
60.6, 1.528, 27
69.2, 1.358, 19
84.9, 1.142, 25